# SrBeCr2O8
Theoretical powder X-ray diffraction pattern, CuKα. Input: a crystal structure in Alexandria, relaxed with GGA+U.
Intensities are scaled so that the largest is 100.

Atomic structure:
Lattice parameters (Å, degrees): 4.8467 4.8467 21.6060 90.00 90.00 120.00
Space group R-3 (No. 148, hexagonal axes)
Inequivalent atoms, fractional coordinates:
Sr1 0.0000 0.0000 0.0000 (multiplicity 3)
Be1 0.0000 0.0000 0.5000 (multiplicity 3)
Cr1 0.0000 0.0000 0.2396 (multiplicity 6)
O1 0.0000 0.0000 0.3172 (multiplicity 6)
O2 0.0126 0.6413 0.1157 (multiplicity 18)

Largest 6 diffraction maxima, sorted by position, 10 to 90 degrees two-theta:
hkl 1 0 4, d = 3.314 Å, I 100
hkl 0 1 5, d = 3.011 Å, I 16
hkl 1 1 0, d = 2.423 Å, I 35
hkl 0 0 9, d = 2.401 Å, I 21
hkl 1 1 3, d = 2.297 Å, I 31
hkl 0 1 8, d = 2.271 Å, I 17